No. 1
Computed powder X-ray diffraction pattern of Cs2ZrSi3O9 for a wavelength of 1.5418 Å, from a PBE-relaxed structure.

Atomic structure:
```
data_Cs2ZrSi3O9
_space_group_name_H-M_alt 'P 1'
_space_group_IT_number 1
_space_group_name_Hall 'P 1'
_cell_length_a 7.1814
_cell_length_b 7.1814
_cell_length_c 10.3307
_cell_angle_alpha 90.00
_cell_angle_beta 90.00
_cell_angle_gamma 120.00
loop_
_atom_site_label
_atom_site_type_symbol
_atom_site_fract_x
_atom_site_fract_y
_atom_site_fract_z
Cs1 Cs 0.3333 0.6667 0.0624
Cs2 Cs 0.3333 0.6667 0.4376
Cs3 Cs 0.6667 0.3333 0.5624
Cs4 Cs 0.6667 0.3333 0.9376
Zr1 Zr 0.0000 0.0000 0.0000
Zr2 Zr 0.0000 0.0000 0.5000
Si1 Si 0.1430 0.3884 0.7500
Si2 Si 0.2453 0.8570 0.7500
Si3 Si 0.3884 0.2453 0.2500
Si4 Si 0.6116 0.7547 0.7500
Si5 Si 0.7547 0.1430 0.2500
Si6 Si 0.8570 0.6116 0.2500
O1 O 0.0442 0.2577 0.6174
O2 O 0.0442 0.2577 0.8826
O3 O 0.0916 0.5912 0.7500
O4 O 0.2136 0.9558 0.6174
O5 O 0.2136 0.9558 0.8826
O6 O 0.2577 0.2136 0.1174
O7 O 0.2577 0.2136 0.3826
O8 O 0.4088 0.5004 0.7500
O9 O 0.5004 0.0916 0.2500
O10 O 0.4996 0.9084 0.7500
O11 O 0.5912 0.4996 0.2500
O12 O 0.7423 0.7864 0.6174
O13 O 0.7423 0.7864 0.8826
O14 O 0.7864 0.0442 0.1174
O15 O 0.7864 0.0442 0.3826
O16 O 0.9084 0.4088 0.2500
O17 O 0.9558 0.7423 0.1174
O18 O 0.9558 0.7423 0.3826
```

Top 6 peaks for 15° ≤ 2θ ≤ 90°, sorted by position:
(1 1 0), 2θ 24.80, I = 759
(1 0 3), 2θ 29.65, I = 721
(2 0 1), 2θ 30.01, I = 315
(1 1 2), 2θ 30.32, I = 1000
(3 0 0), 2θ 43.66, I = 208
(3 0 2), 2θ 47.24, I = 286


No. 2
Computed powder X-ray diffraction pattern of YHoAlNi2 for a wavelength of 1.5418 Å, from a PBE-relaxed structure.

Atomic structure:
```
data_YHoAlNi2
_space_group_name_H-M_alt 'P 1'
_space_group_IT_number 1
_space_group_name_Hall 'P 1'
_cell_length_a 4.1769
_cell_length_b 5.3857
_cell_length_c 8.3092
_cell_angle_alpha 90.00
_cell_angle_beta 90.00
_cell_angle_gamma 90.00
loop_
_atom_site_label
_atom_site_type_symbol
_atom_site_fract_x
_atom_site_fract_y
_atom_site_fract_z
Y1 Y 0.0000 0.0000 0.0000
Y2 Y 0.5000 0.5000 0.5000
Ho1 Ho 0.0000 0.0000 0.4087
Ho2 Ho 0.5000 0.5000 0.9087
Al1 Al 0.0000 0.5000 0.2043
Al2 Al 0.5000 0.0000 0.7043
Ni1 Ni 0.0000 0.2668 0.7043
Ni2 Ni 0.0000 0.7332 0.7043
Ni3 Ni 0.5000 0.2332 0.2043
Ni4 Ni 0.5000 0.7668 0.2043
```

Top 6 peaks for 15° ≤ 2θ ≤ 90°, sorted by position:
(1 1 0), 2θ 27.01, I = 659
(1 1 2), 2θ 34.71, I = 1000
(1 0 3), 2θ 39.02, I = 492
(0 2 2), 2θ 39.90, I = 515
(1 2 1), 2θ 41.35, I = 520
(2 2 2), 2θ 60.36, I = 421


No. 3
Computed powder X-ray diffraction pattern of ZrHg for a wavelength of 1.5418 Å, from a PBE-relaxed structure.

Atomic structure:
```
data_ZrHg
_space_group_name_H-M_alt 'P 1'
_space_group_IT_number 1
_space_group_name_Hall 'P 1'
_cell_length_a 5.2002
_cell_length_b 12.6983
_cell_length_c 5.2524
_cell_angle_alpha 90.00
_cell_angle_beta 90.00
_cell_angle_gamma 90.00
loop_
_atom_site_label
_atom_site_type_symbol
_atom_site_fract_x
_atom_site_fract_y
_atom_site_fract_z
Zr1 Zr 0.2500 0.1262 0.2455
Zr2 Zr 0.2500 0.2500 0.7456
Zr3 Zr 0.2500 0.3738 0.2455
Zr4 Zr 0.2500 0.7500 0.7556
Zr5 Zr 0.7500 0.2500 0.2444
Zr6 Zr 0.7500 0.6262 0.7545
Zr7 Zr 0.7500 0.7500 0.2544
Zr8 Zr 0.7500 0.8738 0.7545
Hg1 Hg 0.2500 0.0003 0.7483
Hg2 Hg 0.2500 0.4997 0.7483
Hg3 Hg 0.2500 0.6275 0.2537
Hg4 Hg 0.2500 0.8725 0.2537
Hg5 Hg 0.7500 0.9997 0.2517
Hg6 Hg 0.7500 0.1275 0.7463
Hg7 Hg 0.7500 0.3725 0.7463
Hg8 Hg 0.7500 0.5003 0.2517
```

Top 6 peaks for 15° ≤ 2θ ≤ 90°, sorted by position:
(0 0 2), 2θ 34.14, I = 314
(2 0 0), 2θ 34.49, I = 306
(1 4 1), 2θ 37.34, I = 1000
(2 0 2), 2θ 49.32, I = 223
(1 4 3), 2θ 63.24, I = 211
(3 4 1), 2θ 63.68, I = 207


No. 4
Computed powder X-ray diffraction pattern of Te3MoSBr for a wavelength of 1.5418 Å, from a PBE-relaxed structure.

Atomic structure:
```
data_Te3MoSBr
_space_group_name_H-M_alt 'P 1'
_space_group_IT_number 1
_space_group_name_Hall 'P 1'
_cell_length_a 6.7129
_cell_length_b 8.1913
_cell_length_c 8.5722
_cell_angle_alpha 64.92
_cell_angle_beta 67.06
_cell_angle_gamma 75.91
loop_
_atom_site_label
_atom_site_type_symbol
_atom_site_fract_x
_atom_site_fract_y
_atom_site_fract_z
Te1 Te 0.0351 0.2577 0.2781
Te2 Te 0.3705 0.9115 0.8129
Te3 Te 0.4562 0.3141 0.3971
Te4 Te 0.5438 0.6859 0.6029
Te5 Te 0.6295 0.0885 0.1871
Te6 Te 0.9649 0.7423 0.7219
Mo1 Mo 0.2737 0.9990 0.5004
Mo2 Mo 0.7263 0.0010 0.4996
S1 S 0.1015 0.8316 0.3951
S2 S 0.8985 0.1684 0.6049
Br1 Br 0.2263 0.2481 0.8938
Br2 Br 0.7737 0.7519 0.1062
```

Top 6 peaks for 15° ≤ 2θ ≤ 90°, sorted by position:
(2 1 1), 2θ 27.01, I = 1000
(2 0 2), 2θ 31.22, I = 704
(1 3 1), 2θ 33.83, I = 944
(-1 2 2), 2θ 35.54, I = 764
(2 1 -1), 2θ 37.78, I = 860
(2 3 3), 2θ 40.74, I = 796